Diffraction record for USi3Ir. The XRD peak list is theoretical, not measured: it uses a GGA-PBE-relaxed structure and Cu Kα (λ = 1.5418 Å).
Lines closer than 0.1° are merged.

Structure:
a b c (Å): 5.704 5.704 5.704
angles (deg): 137.14 137.14 62.22
Atoms (fractional coordinates):
U: 0.000 0.000 0.000
Si: 0.269 0.769 0.500
Si: 0.414 0.414 0.000
Si: 0.769 0.269 0.500
Ir: 0.655 0.655 0.000

Top 12 peaks for 5 to 70 degrees two-theta, low angle first:
2θ/deg	I/Imax
18.17	22
23.20	47
30.33	64
34.97	100
35.58	44
43.43	41
49.81	13
51.68	18
56.93	51
63.09	14
65.51	17
69.74	15

=====

Diffraction record for U2Si3Ir. The XRD peak list is theoretical, not measured: it uses a GGA-PBE-relaxed structure and Cu Kα (λ = 1.5418 Å).
Lines closer than 0.1° are merged.

Structure:
a b c (Å): 3.730 4.170 7.070
angles (deg): 90.00 90.00 90.00
Atoms (fractional coordinates):
U: 0.000 0.000 0.000
U: 0.000 0.500 0.499
Si: 0.500 0.000 0.674
Si: 0.500 0.500 0.159
Si: 0.500 0.500 0.830
Ir: 0.500 0.000 0.333

Top 12 peaks for 5 to 70 degrees two-theta, low angle first:
2θ/deg	I/Imax
12.52	18
24.79	37
25.19	18
34.67	100
34.97	49
43.40	19
44.14	37
48.83	14
56.90	25
57.72	12
67.36	11
67.92	21

=====

Diffraction record for USi2Ir2. The XRD peak list is theoretical, not measured: it uses a GGA-PBE-relaxed structure and Cu Kα (λ = 1.5418 Å).
Lines closer than 0.1° are merged.

Structure:
a b c (Å): 4.105 4.105 9.901
angles (deg): 90.00 90.00 90.00
Atoms (fractional coordinates):
U: 0.250 0.250 0.245
U: 0.750 0.750 0.755
Si: 0.250 0.250 0.633
Si: 0.250 0.750 0.000
Si: 0.750 0.250 0.000
Si: 0.750 0.750 0.367
Ir: 0.250 0.250 0.871
Ir: 0.250 0.750 0.500
Ir: 0.750 0.250 0.500
Ir: 0.750 0.750 0.129

Top 12 peaks for 5 to 70 degrees two-theta, low angle first:
2θ/deg	I/Imax
27.02	23
28.24	19
30.80	18
32.14	50
34.88	70
35.86	100
44.12	60
51.22	28
52.50	15
57.44	34
64.17	20
69.87	23